Entry 1:
For Pr2Y2HoTm4, a GGA-PBE-relaxed structure gives the calculated powder XRD pattern in this record (Cu Kα (weighted mean of Kα1 and Kα2)).
No peak broadening, texture or thermal motion is included.

Structure:
```
Pr2Y2HoTm4
1.0
9.3191 -1.7962 0.0000
9.3191 1.7962 0.0000
-4.1462 0.0000 8.5950
Pr Y Ho Tm
2 2 1 4
Direct
0.1650 0.1650 0.0016
0.8350 0.8350 0.9984
0.3537 0.3537 0.3388
0.6463 0.6463 0.6612
0.5000 0.5000 0.0000
0.0196 0.0196 0.3345
0.3150 0.3150 0.6623
0.6850 0.6850 0.3377
0.9804 0.9804 0.6655
```

Largest 10 diffraction maxima, most intense first, 2θ from 10° to 90°:
31.96 deg, 2.800 Å, rel. 100; 33.66 deg, 2.662 Å, rel. 93; 31.22 deg, 2.865 Å, rel. 51; 60.91 deg, 1.521 Å, rel. 45; 28.93 deg, 3.086 Å, rel. 40; 50.87 deg, 1.795 Å, rel. 39; 58.22 deg, 1.585 Å, rel. 20; 54.91 deg, 1.672 Å, rel. 20; 87.03 deg, 1.120 Å, rel. 18; 62.40 deg, 1.488 Å, rel. 16


Entry 2:
For Ho5ScIn, a GGA-PBE-relaxed structure gives the calculated powder XRD pattern in this record (Cu Kα (weighted mean of Kα1 and Kα2)).
No peak broadening, texture or thermal motion is included.

Structure:
```
Ho5ScIn
1.0
8.0584 0.0000 0.0000
0.0000 11.5814 0.0000
0.0000 0.0000 5.9283
Ho Sc In
10 2 2
Direct
0.0000 0.0000 0.0000
0.0000 0.2531 0.5378
0.0000 0.7469 0.5378
0.1772 0.5000 0.8091
0.3228 0.0000 0.3091
0.5000 0.2469 0.0378
0.5000 0.5000 0.5000
0.5000 0.7531 0.0378
0.6772 0.0000 0.3091
0.8228 0.5000 0.8091
0.0000 0.5000 0.3077
0.5000 0.0000 0.8077
0.0000 0.0000 0.5180
0.5000 0.5000 0.0180
```

Largest 10 diffraction maxima, most intense first, 2θ from 10° to 90°:
24.16 deg, 3.684 Å, rel. 100; 30.88 deg, 2.895 Å, rel. 81; 39.98 deg, 2.255 Å, rel. 72; 33.12 deg, 2.705 Å, rel. 54; 37.67 deg, 2.388 Å, rel. 54; 18.58 deg, 4.775 Å, rel. 51; 49.48 deg, 1.842 Å, rel. 49; 15.30 deg, 5.791 Å, rel. 49; 16.80 deg, 5.277 Å, rel. 47; 22.06 deg, 4.029 Å, rel. 41


Entry 3:
For CaAc6CoOs, a GGA-PBE-relaxed structure gives the calculated powder XRD pattern in this record (Cu Kα (weighted mean of Kα1 and Kα2)).
No peak broadening, texture or thermal motion is included.

Structure:
```
CaAc6CoOs
1.0
7.4725 0.0000 0.0000
-3.7362 6.4713 0.0000
0.0000 0.0000 8.2499
Ca Ac Co Os
1 6 1 1
Direct
0.0000 0.0000 0.0000
0.3654 0.0057 0.6980
0.3654 0.3596 0.3020
0.6404 0.0057 0.3020
0.6404 0.6346 0.6980
0.9943 0.3596 0.6980
0.9943 0.6346 0.3020
0.6667 0.3333 0.5000
0.3333 0.6667 0.5000
```

Largest 10 diffraction maxima, most intense first, 2θ from 10° to 90°:
26.18 deg, 3.403 Å, rel. 100; 32.33 deg, 2.769 Å, rel. 59; 10.72 deg, 8.250 Å, rel. 45; 41.88 deg, 2.157 Å, rel. 29; 40.74 deg, 2.215 Å, rel. 27; 50.55 deg, 1.806 Å, rel. 18; 50.06 deg, 1.822 Å, rel. 15; 21.54 deg, 4.125 Å, rel. 14; 17.42 deg, 5.092 Å, rel. 13; 53.88 deg, 1.702 Å, rel. 12